# RbHoMoO5
Calculated powder X-ray diffraction pattern, λ = 1.5418 Å (Cu Kα). Input: the GGA+U geometry in Alexandria.
Lines closer than 0.1° are merged.

```
data_RbHoMoO5
_chemical_formula_sum 'Rb2 Ho2 Mo2 O10'
_cell_length_a 6.4829
_cell_length_b 6.4829
_cell_length_c 8.1620
_cell_angle_alpha 104.71
_cell_angle_beta 104.71
_cell_angle_gamma 105.80
_space_group_name_H-M_alt 'P 1'
_space_group_IT_number 1
loop_
_space_group_symop_operation_xyz
'x,y,z'
loop_
_atom_site_label
_atom_site_type_symbol
_atom_site_fract_x
_atom_site_fract_y
_atom_site_fract_z
_atom_site_occupancy
Rb1 Rb 0.1787 0.8213 0.7500 1
Rb2 Rb 0.8213 0.1787 0.2500 1
Ho1 Ho 0.5000 0.5000 0.0000 1
Ho2 Ho 0.5000 0.5000 0.5000 1
Mo1 Mo 0.1865 0.8135 0.2500 1
Mo2 Mo 0.8135 0.1865 0.7500 1
O1 O 0.1028 0.2696 0.8973 1
O2 O 0.2045 0.6291 0.3814 1
O3 O 0.2696 0.1028 0.3973 1
O4 O 0.3709 0.7955 0.1186 1
O5 O 0.4384 0.5616 0.7500 1
O6 O 0.5616 0.4384 0.2500 1
O7 O 0.6291 0.2045 0.8814 1
O8 O 0.7304 0.8972 0.6027 1
O9 O 0.7955 0.3709 0.6186 1
O10 O 0.8972 0.7304 0.1027 1
```

Largest 10 diffraction maxima, by intensity, 10 to 90 degrees two-theta:
d_spacing  I_rel
3.100  100
3.776  98
3.547  86
3.010  66
5.850  41
2.820  39
1.950  29
2.462  26
1.984  25
2.729  24